(1)
Starting from a GGA-PBE-relaxed structure, the X-ray powder pattern of Dy2Al5Rh3 was simulated for a wavelength of 1.5418 Å.
No peak broadening, texture or thermal motion is included.

Atomic structure:
Lattice parameters (Å, degrees): 4.243 24.836 6.782 90.00 90.00 90.00
Space group Cmc2_1 (No. 36)
Asymmetric unit:
Dy (0.000, 0.023, 0.000) x4
Dy (0.000, 0.325, 0.928) x4
Al (0.000, 0.100, 0.624) x4
Al (0.000, 0.207, 0.110) x4
Al (0.000, 0.212, 0.717) x4
Al (0.000, 0.371, 0.462) x4
Al (0.000, 0.445, 0.830) x4
Rh (0.000, 0.109, 0.243) x4
Rh (0.000, 0.271, 0.410) x4
Rh (0.000, 0.452, 0.212) x4

Principal peaks in the range 10° ≤ 2θ ≤ 80°, by angle:
d_spacing, 2θ/deg, I_rel
4.580, 19.4, 11.1
3.776, 23.6, 12.8
3.533, 25.2, 13.0
3.299, 27.0, 13.3
2.524, 35.6, 100.0
2.334, 38.6, 26.2
2.313, 38.9, 12.9
2.122, 42.6, 29.0
1.569, 58.8, 11.6
1.290, 73.4, 12.4

***

(2)
Starting from a GGA-PBE-relaxed structure, the X-ray powder pattern of SiAg7 was simulated for a wavelength of 1.5418 Å.
No peak broadening, texture or thermal motion is included.

Atomic structure:
Lattice parameters (Å, degrees): 8.242 8.242 8.242 90.00 90.00 90.00
Space group Fm-3m (No. 225)
Asymmetric unit:
Si (0.000, 0.000, 0.000) x4
Ag (0.000, 0.000, 0.500) x4
Ag (0.000, 0.250, 0.250) x24

Principal peaks in the range 10° ≤ 2θ ≤ 80°, by angle:
d_spacing, 2θ/deg, I_rel
4.759, 18.6, 6.1
4.121, 21.6, 3.3
2.914, 30.7, 2.8
2.485, 36.1, 3.6
2.379, 37.8, 100.0
2.061, 43.9, 48.2
1.891, 48.1, 1.6
1.843, 49.5, 1.4
1.457, 63.9, 29.8
1.243, 76.7, 34.8

***

(3)
Starting from a GGA-PBE-relaxed structure, the X-ray powder pattern of CaSc2Pd2 was simulated for a wavelength of 1.5418 Å.
No peak broadening, texture or thermal motion is included.

Atomic structure:
Lattice parameters (Å, degrees): 5.953 6.806 7.420 93.19 113.56 115.85
Space group P-1 (No. 2)
Asymmetric unit:
Ca (0.114, 0.250, 0.251) x2
Sc (0.192, 0.383, 0.790) x2
Sc (0.479, 0.881, 0.289) x2
Pd (0.275, 0.678, 0.534) x2
Pd (0.435, 0.177, 0.034) x2

Principal peaks in the range 10° ≤ 2θ ≤ 80°, by angle:
d_spacing, 2θ/deg, I_rel
5.148, 17.2, 100.0
4.718, 18.8, 82.2
2.708, 33.1, 42.5
2.656, 33.8, 32.0
2.366, 38.0, 70.5
2.323, 38.8, 55.0
2.256, 40.0, 41.9
2.200, 41.0, 40.7
2.118, 42.7, 36.7
2.041, 44.4, 32.8

***

(4)
Starting from a GGA-PBE-relaxed structure, the X-ray powder pattern of YMgTi2Sn was simulated for a wavelength of 1.5418 Å.
No peak broadening, texture or thermal motion is included.

Atomic structure:
Lattice parameters (Å, degrees): 4.891 4.891 5.451 90.00 90.00 90.00
Space group P4/mmm (No. 123)
Asymmetric unit:
Y (0.000, 0.000, 0.000) x1
Mg (0.000, 0.000, 0.500) x1
Ti (0.000, 0.500, 0.000) x2
Sn (0.500, 0.500, 0.500) x1

Principal peaks in the range 10° ≤ 2θ ≤ 80°, by angle:
d_spacing, 2θ/deg, I_rel
3.641, 24.5, 100.0
3.459, 25.8, 25.3
2.920, 30.6, 37.8
2.726, 32.9, 37.7
2.446, 36.7, 55.3
2.141, 42.2, 14.3
2.030, 44.6, 40.4
1.820, 50.1, 44.5
1.729, 52.9, 18.7
1.460, 63.7, 21.2

***

(5)
Starting from a GGA-PBE-relaxed structure, the X-ray powder pattern of LiCdMo2 was simulated for a wavelength of 1.5418 Å.
No peak broadening, texture or thermal motion is included.

Atomic structure:
Lattice parameters (Å, degrees): 2.678 2.678 9.327 90.00 90.00 90.00
Space group P4mm (No. 99)
Asymmetric unit:
Li (0.000, 0.000, 0.000) x1
Cd (0.500, 0.500, 0.753) x1
Mo (0.000, 0.000, 0.494) x1
Mo (0.500, 0.500, 0.246) x1

Principal peaks in the range 10° ≤ 2θ ≤ 80°, by angle:
d_spacing, 2θ/deg, I_rel
4.663, 19.0, 18.7
3.109, 28.7, 7.1
2.678, 33.5, 9.1
2.574, 34.9, 13.6
2.332, 38.6, 25.1
2.322, 38.8, 100.0
1.893, 48.1, 26.5
1.470, 63.3, 22.3
1.344, 70.0, 16.2
1.339, 70.3, 8.2

***

(6)
Starting from a GGA-PBE-relaxed structure, the X-ray powder pattern of Ti9NbZn2 was simulated for a wavelength of 1.5418 Å.
No peak broadening, texture or thermal motion is included.

Atomic structure:
Lattice parameters (Å, degrees): 4.034 4.034 12.307 90.00 90.00 90.00
Space group P4/mmm (No. 123)
Asymmetric unit:
Ti (0.000, 0.000, 0.000) x1
Ti (0.000, 0.000, 0.340) x2
Ti (0.000, 0.500, 0.172) x4
Ti (0.000, 0.500, 0.500) x2
Nb (0.500, 0.500, 0.000) x1
Zn (0.500, 0.500, 0.338) x2

Principal peaks in the range 10° ≤ 2θ ≤ 80°, by angle:
d_spacing, 2θ/deg, I_rel
4.102, 21.7, 2.2
4.034, 22.0, 4.2
2.876, 31.1, 3.8
2.342, 38.4, 100.0
2.051, 44.2, 16.1
2.017, 44.9, 31.3
1.438, 64.8, 18.7
1.426, 65.4, 9.3
1.233, 77.4, 10.6
1.218, 78.5, 21.0

***

(7)
Starting from a GGA-PBE-relaxed structure, the X-ray powder pattern of UH2O4 was simulated for a wavelength of 1.5418 Å.
No peak broadening, texture or thermal motion is included.

Atomic structure:
Lattice parameters (Å, degrees): 6.680 5.698 5.972 90.00 108.66 90.00
Space group Cm (No. 8)
Asymmetric unit:
U (0.000, 0.000, 0.000) x2
H (0.022, 0.000, 0.476) x2
H (0.344, 0.000, 0.004) x2
O (0.095, 0.000, 0.348) x2
O (0.297, 0.209, 0.005) x4
O (0.417, 0.500, 0.672) x2

Principal peaks in the range 10° ≤ 2θ ≤ 80°, by angle:
d_spacing, 2θ/deg, I_rel
5.658, 15.7, 88.3
4.235, 21.0, 100.0
3.803, 23.4, 57.8
3.238, 27.5, 18.2
3.164, 28.2, 17.2
3.088, 28.9, 25.3
2.829, 31.6, 17.3
2.626, 34.1, 17.9
2.139, 42.2, 18.1
2.117, 42.7, 17.4

***

(8)
Starting from a GGA-PBE-relaxed structure, the X-ray powder pattern of DyPa2Se6 was simulated for a wavelength of 1.5418 Å.
No peak broadening, texture or thermal motion is included.

Atomic structure:
Lattice parameters (Å, degrees): 18.134 4.180 8.442 90.00 103.91 90.00
Space group C2/m (No. 12)
Asymmetric unit:
Dy (0.000, 0.000, 0.000) x2
Pa (0.165, 0.500, 0.325) x4
Se (0.009, 0.500, 0.238) x4
Se (0.164, 0.000, 0.100) x4
Se (0.173, 0.000, 0.560) x4

Principal peaks in the range 10° ≤ 2θ ≤ 80°, by angle:
d_spacing, 2θ/deg, I_rel
6.879, 12.9, 100.0
3.565, 25.0, 29.5
3.539, 25.2, 15.4
2.970, 30.1, 65.1
2.934, 30.5, 31.7
2.292, 39.3, 20.1
2.092, 43.2, 35.1
2.081, 43.5, 24.3
1.999, 45.4, 18.4
1.702, 53.9, 12.8

***

(9)
Starting from a GGA-PBE-relaxed structure, the X-ray powder pattern of Zr3Al4 was simulated for a wavelength of 1.5418 Å.
No peak broadening, texture or thermal motion is included.

Atomic structure:
Lattice parameters (Å, degrees): 5.6520 5.6520 5.2143 90.00 90.00 120.00
Space group P6/mmm (No. 191)
Asymmetric unit:
Zr (0.0000, 0.5000, 0.0000) x3
Al (0.0000, 0.0000, 0.2495) x2
Al (0.3333, 0.6667, 0.5000) x2

Principal peaks in the range 10° ≤ 2θ ≤ 80°, by angle:
d_spacing, 2θ/deg, I_rel
5.214, 17.0, 84.6
4.895, 18.1, 18.6
2.607, 34.4, 22.4
2.485, 36.2, 32.3
2.447, 36.7, 67.2
2.301, 39.1, 36.1
2.215, 40.7, 100.0
1.784, 51.2, 21.2
1.509, 61.5, 18.6
1.417, 65.9, 22.9

***

(10)
Starting from a GGA-PBE-relaxed structure, the X-ray powder pattern of Tb5Ce2Co4 was simulated for a wavelength of 1.5418 Å.
No peak broadening, texture or thermal motion is included.

Atomic structure:
Lattice parameters (Å, degrees): 21.516 3.545 7.130 90.00 103.63 90.00
Space group C2/m (No. 12)
Asymmetric unit:
Tb (0.000, 0.000, 0.000) x2
Tb (0.155, 0.500, 0.101) x4
Tb (0.211, 0.500, 0.634) x4
Ce (0.064, 0.500, 0.662) x4
Co (0.065, 0.500, 0.356) x4
Co (0.141, 0.000, 0.366) x4

Principal peaks in the range 10° ≤ 2θ ≤ 80°, by angle:
d_spacing, 2θ/deg, I_rel
3.494, 25.5, 49.7
3.171, 28.1, 40.2
3.160, 28.2, 40.2
2.855, 31.3, 89.1
2.810, 31.8, 44.2
2.661, 33.7, 100.0
2.414, 37.3, 97.6
2.310, 39.0, 40.0
2.284, 39.4, 46.0
1.495, 62.1, 42.8

***

(11)
Starting from a GGA-PBE-relaxed structure, the X-ray powder pattern of Mg2Si was simulated for a wavelength of 1.5418 Å.
No peak broadening, texture or thermal motion is included.

Atomic structure:
Lattice parameters (Å, degrees): 6.362 6.362 6.362 90.00 90.00 90.00
Space group Fm-3m (No. 225)
Asymmetric unit:
Mg (0.250, 0.250, 0.250) x8
Si (0.000, 0.000, 0.000) x4

Principal peaks in the range 10° ≤ 2θ ≤ 80°, by angle:
d_spacing, 2θ/deg, I_rel
3.673, 24.2, 35.8
3.181, 28.1, 10.6
2.249, 40.1, 100.0
1.918, 47.4, 15.2
1.836, 49.6, 3.0
1.590, 58.0, 16.2
1.459, 63.8, 6.2
1.423, 65.6, 3.4
1.299, 72.8, 32.0
1.224, 78.1, 4.7